Entry 1:
Starting from a PBE+U-relaxed structure, the PXRD pattern of Li4MgCo3O8 was calculated for a wavelength of 1.5418 Å.
Kinematic intensities with the Lorentz-polarization factor, no thermal factor.

Top 8 peaks for 15 to 90 degrees two-theta, by intensity:
- 2θ = 18.73°, I = 100, hkl 0 0 3
- 2θ = 44.64°, I = 77, hkl 0 2 4
- 2θ = 36.89°, I = 37, hkl 0 2 1
- 2θ = 65.36°, I = 21, hkl 2 2 0
- 2θ = 64.58°, I = 20, hkl 2 0 8
- 2θ = 58.84°, I = 14, hkl 0 2 7
- 2θ = 68.66°, I = 14, hkl 2 2 3
- 2θ = 19.00°, I = 12, hkl 1 0 1

Structure:
```
data_Li4MgCo3O8
_chemical_formula_sum 'Li12 Mg3 Co9 O24'
_cell_length_a 5.7112
_cell_length_b 5.7112
_cell_length_c 14.2161
_cell_angle_alpha 90.00
_cell_angle_beta 90.00
_cell_angle_gamma 120.00
_space_group_name_H-M_alt 'R -3 m'
_space_group_IT_number 166
_space_group_name_Hall '-R 3 2"'
loop_
_atom_site_label
_atom_site_type_symbol
_atom_site_fract_x
_atom_site_fract_y
_atom_site_fract_z
Li1 Li 0.0000 0.0000 0.0000
Li2 Li 0.0000 0.5000 0.0000
Mg1 Mg 0.0000 0.0000 0.5000
Co1 Co 0.0000 0.5000 0.5000
O1 O 0.0000 0.0000 0.2389
O2 O 0.0159 0.5080 0.7595
```

Entry 2:
Starting from a PBE+U-relaxed structure, the PXRD pattern of SrZnCrP2O8 was calculated for a wavelength of 1.5418 Å.
Kinematic intensities with the Lorentz-polarization factor, no thermal factor.

Top 8 peaks for 15 to 90 degrees two-theta, by intensity:
- 2θ = 27.95°, I = 100, hkl 0 2 -2
- 2θ = 30.38°, I = 61, hkl 1 1 1
- 2θ = 31.23°, I = 49, hkl 1 0 -3
- 2θ = 32.83°, I = 47, hkl -1 2 1
- 2θ = 32.30°, I = 41, hkl 2 0 -1
- 2θ = 33.25°, I = 26, hkl 2 -1 0
- 2θ = 28.73°, I = 26, hkl -1 1 2
- 2θ = 46.31°, I = 23, hkl 1 3 -1

Structure:
```
data_SrZnCrP2O8
_chemical_formula_sum 'Sr2 Zn2 Cr2 P4 O16'
_cell_length_a 5.610
_cell_length_b 6.959
_cell_length_c 9.400
_cell_angle_alpha 109.40
_cell_angle_beta 102.66
_cell_angle_gamma 98.80
_space_group_name_H-M_alt 'P -1'
_space_group_IT_number 2
loop_
_space_group_symop_operation_xyz
'x,y,z'
'-x,-y,-z'
loop_
_atom_site_label
_atom_site_type_symbol
_atom_site_fract_x
_atom_site_fract_y
_atom_site_fract_z
Sr1 Sr 0.247 0.200 0.447
Zn1 Zn 0.496 0.380 0.141
Cr1 Cr 0.136 0.840 0.047
P1 P 0.110 0.579 0.268
P2 P 0.335 0.020 0.796
O1 O 0.118 0.925 0.851
O2 O 0.142 0.418 0.111
O3 O 0.159 0.798 0.258
O4 O 0.161 0.479 0.717
O5 O 0.234 0.996 0.626
O6 O 0.309 0.564 0.403
O7 O 0.448 0.103 0.188
O8 O 0.462 0.253 0.911
```